[1]
This entry pairs a crystal structure of KIO2 with its simulated X-ray diffraction stick pattern. Radiation: Cu Kα (weighted mean of Kα1 and Kα2). Structure: a structure optimized by DFT (PBE).
Intensities are scaled so that the largest is 100.

Atomic structure:
```
KIO2
1.0
-3.384 3.384 6.808
3.384 -3.384 6.808
3.384 3.384 -6.808
K I O
4 4 8
Cartesian
0.000 0.000 0.000
1.692 1.692 -3.404
1.692 -1.692 3.404
0.000 3.384 0.000
3.384 0.000 0.000
-1.692 1.692 3.404
0.000 0.000 6.808
1.692 1.692 3.404
2.013 1.692 -0.487
4.756 1.692 -0.487
0.000 0.321 2.917
3.384 0.321 3.891
0.000 3.064 2.917
3.384 3.064 3.891
-1.372 1.692 7.295
1.372 1.692 7.295
```

Largest 12 diffraction maxima, in order of rising 2θ, 2θ from 5° to 70°:
| d (Å) | I (rel.) |
| --- | --- |
| 6.061 | 51 |
| 3.770 | 30 |
| 3.404 | 64 |
| 3.031 | 100 |
| 2.518 | 14 |
| 2.393 | 50 |
| 1.958 | 48 |
| 1.885 | 33 |
| 1.692 | 15 |
| 1.515 | 19 |
| 1.477 | 26 |
| 1.387 | 12 |

[2]
This entry pairs a crystal structure of PrGeRh with its simulated X-ray diffraction stick pattern. Radiation: Cu Kα (weighted mean of Kα1 and Kα2). Structure: a structure optimized by DFT (PBE).
Intensities are scaled so that the largest is 100.

Atomic structure:
```
PrGeRh
1.0
7.259 0.000 0.000
0.000 4.491 0.000
0.000 0.000 7.579
Pr Ge Rh
4 4 4
Cartesian
0.121 1.123 1.518
3.509 3.368 5.308
3.751 1.123 2.272
7.139 3.368 6.062
1.359 1.123 4.447
2.271 3.368 0.657
4.988 1.123 6.922
5.901 3.368 3.132
1.401 3.368 3.146
2.229 1.123 6.935
5.030 3.368 0.644
5.859 1.123 4.434
```

Largest 12 diffraction maxima, in order of rising 2θ, 2θ from 5° to 70°:
| d (Å) | I (rel.) |
| --- | --- |
| 2.690 | 52 |
| 2.645 | 100 |
| 2.621 | 37 |
| 2.386 | 11 |
| 2.305 | 28 |
| 2.246 | 41 |
| 2.202 | 52 |
| 1.705 | 20 |
| 1.636 | 10 |
| 1.609 | 18 |
| 1.416 | 25 |
| 1.361 | 12 |

[3]
This entry pairs a crystal structure of CrSe with its simulated X-ray diffraction stick pattern. Radiation: Cu Kα (weighted mean of Kα1 and Kα2). Structure: a structure optimized by DFT (PBE).
Intensities are scaled so that the largest is 100.

Atomic structure:
```
CrSe
1.0
3.530 0.000 0.000
0.000 3.530 0.000
0.000 0.000 6.321
Cr Se
2 2
Cartesian
0.883 2.648 0.000
2.648 0.883 0.000
0.883 0.883 1.677
2.648 2.648 4.643
```

Largest 12 diffraction maxima, in order of rising 2θ, 2θ from 5° to 70°:
| d (Å) | I (rel.) |
| --- | --- |
| 6.321 | 52 |
| 3.082 | 100 |
| 2.496 | 3 |
| 2.322 | 27 |
| 2.107 | 8 |
| 1.959 | 73 |
| 1.809 | 19 |
| 1.765 | 26 |
| 1.700 | 5 |
| 1.580 | 8 |
| 1.532 | 24 |
| 1.353 | 6 |

[4]
This entry pairs a crystal structure of K3Y with its simulated X-ray diffraction stick pattern. Radiation: Cu Kα (weighted mean of Kα1 and Kα2). Structure: a structure optimized by DFT (PBE).
Intensities are scaled so that the largest is 100.

Atomic structure:
```
K3Y
1.0
0.000 4.877 4.877
4.877 0.000 4.877
4.877 4.877 0.000
K Y
3 1
Cartesian
0.000 0.000 0.000
2.439 2.439 2.439
7.316 7.316 7.316
4.877 4.877 4.877
```

Largest 12 diffraction maxima, in order of rising 2θ, 2θ from 5° to 70°:
| d (Å) | I (rel.) |
| --- | --- |
| 5.632 | 11 |
| 4.877 | 6 |
| 3.449 | 100 |
| 2.941 | 7 |
| 2.439 | 18 |
| 2.238 | 3 |
| 2.181 | 3 |
| 1.991 | 38 |
| 1.724 | 12 |
| 1.649 | 3 |
| 1.542 | 16 |
| 1.408 | 4 |

[5]
This entry pairs a crystal structure of NaGaH4 with its simulated X-ray diffraction stick pattern. Radiation: Cu Kα (weighted mean of Kα1 and Kα2). Structure: a structure optimized by DFT (PBE).
Intensities are scaled so that the largest is 100.

Atomic structure:
```
NaGaH4
1.0
3.545 -3.265 0.000
3.545 3.265 0.000
0.000 0.000 7.089
Na Ga H
2 2 8
Cartesian
3.545 2.208 5.317
3.545 -2.208 1.772
3.545 1.098 1.772
3.545 -1.098 5.317
3.545 2.057 0.496
3.545 2.057 3.049
2.249 0.167 1.772
2.249 -0.167 5.317
4.841 0.167 1.772
4.841 -0.167 5.317
3.545 -2.057 4.041
3.545 -2.057 6.593
```

Largest 12 diffraction maxima, in order of rising 2θ, 2θ from 5° to 70°:
| d (Å) | I (rel.) |
| --- | --- |
| 3.977 | 53 |
| 3.545 | 100 |
| 2.966 | 46 |
| 2.506 | 35 |
| 2.402 | 17 |
| 2.275 | 42 |
| 2.120 | 18 |
| 1.914 | 13 |
| 1.772 | 13 |
| 1.684 | 17 |
| 1.585 | 17 |
| 1.521 | 11 |

[6]
This entry pairs a crystal structure of LuC2 with its simulated X-ray diffraction stick pattern. Radiation: Cu Kα (weighted mean of Kα1 and Kα2). Structure: a structure optimized by DFT (PBE).
Intensities are scaled so that the largest is 100.

Atomic structure:
```
LuC2
1.0
-1.783 1.783 3.029
1.783 -1.783 3.029
1.783 1.783 -3.029
Lu C
1 2
Cartesian
0.000 0.000 0.000
0.000 0.000 2.375
0.000 0.000 3.683
```

Largest 9 diffraction maxima, in order of rising 2θ, 2θ from 5° to 70°:
| d (Å) | I (rel.) |
| --- | --- |
| 3.073 | 100 |
| 3.029 | 32 |
| 2.521 | 46 |
| 1.938 | 36 |
| 1.783 | 16 |
| 1.757 | 27 |
| 1.542 | 28 |
| 1.537 | 17 |
| 1.514 | 3 |

[7]
This entry pairs a crystal structure of TmSi2Pd2 with its simulated X-ray diffraction stick pattern. Radiation: Cu Kα (weighted mean of Kα1 and Kα2). Structure: a structure optimized by DFT (PBE).
Intensities are scaled so that the largest is 100.

Atomic structure:
```
TmSi2Pd2
1.0
-2.066 2.066 4.988
2.066 -2.066 4.988
2.066 2.066 -4.988
Tm Si Pd
1 2 2
Cartesian
0.000 0.000 0.000
0.000 0.000 3.837
0.000 0.000 6.138
2.066 0.000 2.494
0.000 2.066 2.494
```

Largest 12 diffraction maxima, in order of rising 2θ, 2θ from 5° to 70°:
| d (Å) | I (rel.) |
| --- | --- |
| 3.817 | 29 |
| 2.590 | 28 |
| 2.521 | 100 |
| 2.494 | 17 |
| 2.066 | 35 |
| 1.817 | 8 |
| 1.797 | 11 |
| 1.615 | 13 |
| 1.591 | 17 |
| 1.461 | 11 |
| 1.445 | 15 |
| 1.356 | 9 |

[8]
This entry pairs a crystal structure of Cs5Nb2S4Cl9 with its simulated X-ray diffraction stick pattern. Radiation: Cu Kα (weighted mean of Kα1 and Kα2). Structure: a structure optimized by DFT (PBE).
Intensities are scaled so that the largest is 100.

Atomic structure:
```
Cs5Nb2S4Cl9
1.0
-3.698 5.253 8.324
3.698 -5.253 8.324
3.698 5.253 -8.324
Cs Nb S Cl
5 2 4 9
Cartesian
0.000 0.000 0.000
3.698 2.314 -2.733
3.698 2.314 2.733
0.000 2.939 5.590
0.000 2.939 11.057
3.698 0.000 6.849
0.000 5.253 1.475
1.783 4.257 0.000
1.915 -0.996 8.324
1.783 6.248 0.000
1.915 0.996 8.324
3.698 0.000 0.000
3.698 -2.566 6.185
1.748 5.253 -3.351
1.950 0.000 4.973
0.000 2.686 2.139
3.698 2.566 6.185
1.748 5.253 3.351
1.950 0.000 11.674
0.000 7.819 2.139
```

Largest 12 diffraction maxima, in order of rising 2θ, 2θ from 5° to 70°:
| d (Å) | I (rel.) |
| --- | --- |
| 6.047 | 27 |
| 4.440 | 100 |
| 4.148 | 75 |
| 3.698 | 45 |
| 3.390 | 24 |
| 3.262 | 38 |
| 2.961 | 36 |
| 2.842 | 50 |
| 2.764 | 24 |
| 2.627 | 35 |
| 2.408 | 41 |
| 2.141 | 25 |

[9]
This entry pairs a crystal structure of YAgSb2 with its simulated X-ray diffraction stick pattern. Radiation: Cu Kα (weighted mean of Kα1 and Kα2). Structure: a structure optimized by DFT (PBE).
Intensities are scaled so that the largest is 100.

Atomic structure:
```
YAgSb2
1.0
4.345 0.000 0.000
0.000 4.345 0.000
0.000 0.000 10.551
Y Ag Sb
2 2 4
Cartesian
1.086 1.086 2.467
3.259 3.259 8.083
1.086 3.259 5.275
3.259 1.086 5.275
1.086 1.086 7.215
1.086 3.259 0.000
3.259 1.086 0.000
3.259 3.259 3.336
```

Largest 12 diffraction maxima, in order of rising 2θ, 2θ from 5° to 70°:
| d (Å) | I (rel.) |
| --- | --- |
| 3.354 | 13 |
| 2.655 | 100 |
| 2.638 | 14 |
| 2.255 | 9 |
| 2.173 | 34 |
| 2.001 | 7 |
| 1.824 | 5 |
| 1.677 | 14 |
| 1.565 | 6 |
| 1.536 | 11 |
| 1.526 | 5 |
| 1.367 | 5 |